# 1
LiPuBe17: computed powder diffraction line list (copper Kα), based on the GGA-PBE geometry in Alexandria.
Lines closer than 0.1° are merged.

Peak list (10 most intense, 2θ from 15° to 90°, sorted by position)
- 2θ 15.7, I = 100
- 2θ 21.0, I = 55
- 2θ 23.4, I = 38
- 2θ 28.2, I = 28
- 2θ 31.6, I = 21
- 2θ 33.9, I = 37
- 2θ 35.3, I = 16
- 2θ 37.0, I = 28
- 2θ 39.7, I = 23
- 2θ 48.2, I = 19

Crystal structure
Cell: 7.6170 7.6170 11.0301 Å, 90.00 90.00 120.00°
Space group R3m (No. 160, hexagonal axes)
One atom of each set of equivalent atoms:
Li1 0.0000 0.0000 0.0000 x3
Pu1 0.0000 0.0000 0.3163 x3
Be1 0.0000 0.0000 0.5642 x3
Be2 0.0000 0.0000 0.7589 x3
Be3 0.0033 0.2883 0.6633 x18
Be4 0.0107 0.5053 0.1593 x9
Be5 0.0148 0.5074 0.5099 x9
Be6 0.1678 0.3356 0.1527 x9

# 2
CeH6IrPt: computed powder diffraction line list (copper Kα), based on the GGA-PBE geometry in Alexandria.
Lines closer than 0.1° are merged.

Peak list (10 most intense, 2θ from 15° to 90°, sorted by position)
- 2θ 21.2, I = 24
- 2θ 30.1, I = 100
- 2θ 37.0, I = 71
- 2θ 43.1, I = 21
- 2θ 43.2, I = 15
- 2θ 48.4, I = 27
- 2θ 58.2, I = 40
- 2θ 62.5, I = 26
- 2θ 66.7, I = 13
- 2θ 82.9, I = 15

Crystal structure
Cell: 4.8550 4.8550 4.1904 Å, 90.00 90.00 120.00°
Space group P3m1 (No. 156)
One atom of each set of equivalent atoms:
Ce1 0.0000 0.0000 0.0000 x1
H1 0.5080 0.0159 0.2298 x3
H2 0.5082 0.0164 0.7693 x3
Ir1 0.6667 0.3333 0.4988 x1
Pt1 0.3333 0.6667 0.5009 x1

# 3
Na5TiTe5: computed powder diffraction line list (copper Kα), based on the GGA-PBE geometry in Alexandria.
Lines closer than 0.1° are merged.

Peak list (10 most intense, 2θ from 15° to 90°, sorted by position)
- 2θ 16.2, I = 78
- 2θ 24.3, I = 87
- 2θ 25.2, I = 94
- 2θ 27.6, I = 91
- 2θ 28.1, I = 98
- 2θ 30.1, I = 100
- 2θ 35.8, I = 33
- 2θ 41.3, I = 60
- 2θ 41.7, I = 66
- 2θ 51.7, I = 33

Crystal structure
Cell: 14.761 5.937 8.805 Å, 90.00 108.46 90.00°
Space group C2/m (No. 12)
One atom of each set of equivalent atoms:
Na1 0.000 0.000 0.000 x2
Na2 0.185 0.500 0.358 x4
Na3 0.202 0.500 0.824 x4
Ti1 0.000 0.000 0.500 x2
Te1 0.000 0.500 0.500 x2
Te2 0.134 0.000 0.339 x4
Te3 0.146 0.000 0.801 x4

# 4
Li3SmU3Se8: computed powder diffraction line list (copper Kα), based on the GGA-PBE geometry in Alexandria.
Lines closer than 0.1° are merged.

Peak list (10 most intense, 2θ from 15° to 90°, sorted by position)
- 2θ 25.5, I = 50
- 2θ 31.2, I = 100
- 2θ 34.1, I = 26
- 2θ 44.3, I = 38
- 2θ 45.0, I = 36
- 2θ 46.5, I = 20
- 2θ 55.1, I = 20
- 2θ 73.3, I = 18
- 2θ 74.4, I = 17
- 2θ 82.0, I = 13

Crystal structure
Cell: 8.1842 8.1842 19.5701 Å, 90.00 90.00 120.00°
Space group R-3m (No. 166, hexagonal axes)
One atom of each set of equivalent atoms:
Li1 0.0000 0.5000 0.0000 x9
Sm1 0.0000 0.0000 0.5000 x3
U1 0.0000 0.5000 0.5000 x9
Se1 0.0000 0.0000 0.2528 x6
Se2 0.0053 0.5026 0.7488 x18